No. 1
# TbCoB4
Simulated X-ray diffraction stick pattern, Cu Kα X-rays. Input: DFT lattice parameters and positions (PBE).
Peak positions follow from Bragg's law for the DFT cell and can differ from measured ones.

```
data_TbCoB4
_cell_length_a 3.145
_cell_length_b 5.306
_cell_length_c 7.225
_cell_angle_alpha 90.00
_cell_angle_beta 90.00
_cell_angle_gamma 90.00
_symmetry_space_group_name_H-M 'P 1'
_symmetry_Int_Tables_number 1
_symmetry_space_group_name_Hall 'P 1'
loop_
_atom_site_label
_atom_site_fract_x
_atom_site_fract_y
_atom_site_fract_z
_atom_site_occupancy
Tb1 0.000 0.000 0.000 1
Tb2 0.500 0.500 0.500 1
Co1 0.000 0.000 0.500 1
Co2 0.500 0.500 0.000 1
B1 0.000 0.334 0.249 1
B2 0.000 0.334 0.751 1
B3 0.000 0.666 0.249 1
B4 0.000 0.666 0.751 1
B5 0.500 0.166 0.251 1
B6 0.500 0.166 0.749 1
B7 0.500 0.834 0.251 1
B8 0.500 0.834 0.749 1
```

The 12 most intense peaks (2θ from 5° to 70°), most intense first:
Position (°2θ)	intensity	hkl
41.71	100	1 1 2
33.11	71	1 1 0
24.64	61	0 0 2
20.77	48	0 1 1
42.27	48	0 2 2
33.79	34	0 2 0
61.75	24	1 1 4
31.01	18	1 0 1
60.01	18	1 3 0
65.88	17	1 3 2
50.53	16	0 0 4
46.52	12	1 2 1

No. 2
# Tb4CoB13
Simulated X-ray diffraction stick pattern, Cu Kα X-rays. Input: DFT lattice parameters and positions (PBE).
Peak positions follow from Bragg's law for the DFT cell and can differ from measured ones.

```
data_Tb4CoB13
_cell_length_a 7.332
_cell_length_b 7.332
_cell_length_c 6.941
_cell_angle_alpha 90.00
_cell_angle_beta 90.00
_cell_angle_gamma 90.00
_symmetry_space_group_name_H-M 'P 1'
_symmetry_Int_Tables_number 1
_symmetry_space_group_name_Hall 'P 1'
loop_
_atom_site_label
_atom_site_fract_x
_atom_site_fract_y
_atom_site_fract_z
_atom_site_occupancy
Tb1 0.181 0.316 0.000 1
Tb2 0.184 0.319 0.500 1
Tb3 0.316 0.819 0.000 1
Tb4 0.319 0.816 0.500 1
Tb5 0.681 0.184 0.500 1
Tb6 0.684 0.181 0.000 1
Tb7 0.816 0.681 0.500 1
Tb8 0.819 0.684 0.000 1
Co1 0.000 0.000 0.500 1
Co2 0.500 0.500 0.000 1
B1 0.000 0.000 0.000 1
B2 0.039 0.831 0.246 1
B3 0.039 0.831 0.754 1
B4 0.091 0.591 0.250 1
B5 0.091 0.591 0.750 1
B6 0.169 0.039 0.246 1
B7 0.169 0.039 0.754 1
B8 0.331 0.539 0.254 1
B9 0.331 0.539 0.746 1
B10 0.409 0.091 0.250 1
B11 0.409 0.091 0.750 1
B12 0.461 0.331 0.254 1
B13 0.461 0.331 0.746 1
B14 0.500 0.500 0.500 1
B15 0.539 0.669 0.254 1
B16 0.539 0.669 0.746 1
B17 0.591 0.909 0.250 1
B18 0.591 0.909 0.750 1
B19 0.669 0.461 0.254 1
B20 0.669 0.461 0.746 1
B21 0.831 0.961 0.246 1
B22 0.831 0.961 0.754 1
B23 0.909 0.409 0.250 1
B24 0.909 0.409 0.750 1
B25 0.961 0.169 0.246 1
B26 0.961 0.169 0.754 1
```

The 12 most intense peaks (2θ from 5° to 70°), most intense first:
Position (°2θ)	intensity	hkl
37.75	100	2 1 2
27.20	95	2 1 0
25.67	59	0 0 2
35.62	40	2 0 2
58.31	40	4 1 2
24.28	39	2 0 0
51.39	37	4 1 0
47.14	28	3 1 2
43.58	22	2 2 2
60.35	21	2 1 4
38.84	21	3 1 0
34.60	16	2 2 0